For NaTe3Cl, a structure optimized by DFT (PBE) gives the computed XRD peak list in this record (Cu Kα (λ = 1.5418 Å)).
Peak positions follow from Bragg's law for the DFT cell and can differ from measured ones.

Crystal structure
```
NaTe3Cl
1.0
5.495 0.000 0.000
0.000 5.495 0.000
0.000 0.000 5.495
Na Te Cl
1 3 1
Direct
0.000 0.000 0.000
0.000 0.500 0.500
0.500 0.000 0.500
0.500 0.500 0.000
0.500 0.500 0.500
```

Most intense lines, 15° ≤ 2θ ≤ 90°, low angle first:
2θ/deg	I_rel	hkl
16.13	423	1 0 0
28.12	1000	1 1 1
32.59	737	2 0 0
36.56	209	2 1 0
46.75	526	2 2 0
55.45	450	3 1 1
58.15	180	2 2 2
75.39	178	3 3 1
77.71	226	4 2 0
86.82	173	4 2 2